[1]
Tb5SmDy3: computed X-ray powder pattern (a wavelength of 1.5418 Å), based on a DFT-relaxed cell (PBE, Alexandria).
Intensities are scaled so that the largest is 100.

```
data_Tb5SmDy3
_chemical_formula_sum 'Tb20 Sm4 Dy12'
_cell_length_a 17.269
_cell_length_b 6.195
_cell_length_c 11.255
_cell_angle_alpha 90.00
_cell_angle_beta 90.70
_cell_angle_gamma 90.00
_space_group_name_H-M_alt 'C 1 2/c 1'
_space_group_IT_number 15
loop_
_space_group_symop_operation_xyz
'x,y,z'
'-x,-y,-z'
'-x,y,-z+1/2'
'x,-y,z+1/2'
'x+1/2,y+1/2,z'
'-x+1/2,-y+1/2,-z'
'-x+1/2,y+1/2,-z+1/2'
'x+1/2,-y+1/2,z+1/2'
loop_
_atom_site_label
_atom_site_type_symbol
_atom_site_fract_x
_atom_site_fract_y
_atom_site_fract_z
Tb1 Tb 0.000 0.091 0.250
Tb2 Tb 0.164 0.225 0.581
Tb3 Tb 0.174 0.293 0.248
Sm1 Sm 0.000 0.384 0.750
Dy1 Dy 0.000 0.500 0.000
Dy2 Dy 0.164 0.230 0.917
```

Main lines, low angle first (2θ = 15–90°):
2theta  d/Å  I_rel  h k l
28.34  3.149  28  1 1 3
28.82  3.098  25  0 2 0
30.66  2.916  50  2 2 0
31.08  2.878  100  6 0 0
31.70  2.823  36  2 2 -1
31.79  2.815  96  3 1 -3
32.08  2.790  83  3 1 3
35.67  2.517  32  4 2 0

[2]
Th5Hg: computed X-ray powder pattern (a wavelength of 1.5418 Å), based on a DFT-relaxed cell (PBE, Alexandria).
Intensities are scaled so that the largest is 100.

```
data_Th5Hg
_chemical_formula_sum 'Th10 Hg2'
_cell_length_a 4.970
_cell_length_b 15.296
_cell_length_c 4.872
_cell_angle_alpha 90.00
_cell_angle_beta 90.00
_cell_angle_gamma 90.00
_space_group_name_H-M_alt 'C m m m'
_space_group_IT_number 65
_space_group_name_Hall '-C 2 2'
loop_
_atom_site_label
_atom_site_type_symbol
_atom_site_fract_x
_atom_site_fract_y
_atom_site_fract_z
Th1 Th 0.000 0.000 0.000
Th2 Th 0.000 0.164 0.500
Th3 Th 0.000 0.336 0.000
Hg1 Hg 0.000 0.500 0.500
```

Main lines, low angle first (2θ = 15–90°):
2theta  d/Å  I_rel  h k l
31.12  2.874  100  1 3 1
35.20  2.549  18  0 6 0
36.15  2.485  17  2 0 0
36.90  2.436  16  0 0 2
60.64  1.527  15  1 9 1
61.89  1.499  15  3 3 1
62.90  1.478  14  1 3 3
64.89  1.437  13  2 6 2

[3]
Tb3Pm2Sc4: computed X-ray powder pattern (a wavelength of 1.5418 Å), based on a DFT-relaxed cell (PBE, Alexandria).
Intensities are scaled so that the largest is 100.

```
data_Tb3Pm2Sc4
_chemical_formula_sum 'Tb12 Pm8 Sc16'
_cell_length_a 16.088
_cell_length_b 11.294
_cell_length_c 5.815
_cell_angle_alpha 90.00
_cell_angle_beta 97.69
_cell_angle_gamma 90.00
_space_group_name_H-M_alt 'C 1 2/c 1'
_space_group_IT_number 15
loop_
_space_group_symop_operation_xyz
'x,y,z'
'-x,-y,-z'
'-x,y,-z+1/2'
'x,-y,z+1/2'
'x+1/2,y+1/2,z'
'-x+1/2,-y+1/2,-z'
'-x+1/2,y+1/2,-z+1/2'
'x+1/2,-y+1/2,z+1/2'
loop_
_atom_site_label
_atom_site_type_symbol
_atom_site_fract_x
_atom_site_fract_y
_atom_site_fract_z
Tb1 Tb 0.000 0.139 0.250
Tb2 Tb 0.160 0.384 0.108
Pm1 Pm 0.122 0.122 0.795
Sc1 Sc 0.051 0.381 0.541
Sc2 Sc 0.234 0.136 0.345
```

Main lines, low angle first (2θ = 15–90°):
2theta  d/Å  I_rel  h k l
23.77  3.743  19  2 2 -1
31.21  2.866  52  5 1 -1
31.69  2.823  55  0 4 0
31.81  2.813  54  1 1 -2
33.04  2.711  100  4 2 1
38.67  2.328  30  5 3 -1
39.16  2.300  33  1 3 -2
57.32  1.607  19  4 6 1

[4]
Tb2TlGa2: computed X-ray powder pattern (a wavelength of 1.5418 Å), based on a DFT-relaxed cell (PBE, Alexandria).
Intensities are scaled so that the largest is 100.

```
data_Tb2TlGa2
_chemical_formula_sum 'Tb4 Tl2 Ga4'
_cell_length_a 7.335
_cell_length_b 7.335
_cell_length_c 4.413
_cell_angle_alpha 90.00
_cell_angle_beta 90.00
_cell_angle_gamma 90.00
_space_group_name_H-M_alt 'P 4/m b m'
_space_group_IT_number 127
_space_group_name_Hall '-P 4 2ab'
loop_
_atom_site_label
_atom_site_type_symbol
_atom_site_fract_x
_atom_site_fract_y
_atom_site_fract_z
Tb1 Tb 0.172 0.328 0.000
Tl1 Tl 0.000 0.000 0.500
Ga1 Ga 0.124 0.624 0.500
```

Main lines, low angle first (2θ = 15–90°):
2theta  d/Å  I_rel  h k l
26.52  3.361  32  1 1 1
31.72  2.821  77  2 0 1
34.05  2.633  100  2 1 1
34.59  2.593  19  2 2 0
38.82  2.320  55  3 1 0
40.90  2.206  30  0 0 2
57.23  1.610  20  3 3 1
57.66  1.599  35  3 1 2

Number 2 is which compound?
Th5Hg

Repeat the second record exactly.
Th5Hg: computed X-ray powder pattern (a wavelength of 1.5418 Å), based on a DFT-relaxed cell (PBE, Alexandria).
Intensities are scaled so that the largest is 100.

```
data_Th5Hg
_chemical_formula_sum 'Th10 Hg2'
_cell_length_a 4.970
_cell_length_b 15.296
_cell_length_c 4.872
_cell_angle_alpha 90.00
_cell_angle_beta 90.00
_cell_angle_gamma 90.00
_space_group_name_H-M_alt 'C m m m'
_space_group_IT_number 65
_space_group_name_Hall '-C 2 2'
loop_
_atom_site_label
_atom_site_type_symbol
_atom_site_fract_x
_atom_site_fract_y
_atom_site_fract_z
Th1 Th 0.000 0.000 0.000
Th2 Th 0.000 0.164 0.500
Th3 Th 0.000 0.336 0.000
Hg1 Hg 0.000 0.500 0.500
```

Main lines, low angle first (2θ = 15–90°):
2theta  d/Å  I_rel  h k l
31.12  2.874  100  1 3 1
35.20  2.549  18  0 6 0
36.15  2.485  17  2 0 0
36.90  2.436  16  0 0 2
60.64  1.527  15  1 9 1
61.89  1.499  15  3 3 1
62.90  1.478  14  1 3 3
64.89  1.437  13  2 6 2